[1]
Theoretical powder diffractogram of ZnAg2W for Cu Kα, from the PBE geometry in Alexandria.

Principal peaks in the range 2θ = 10–90°, in order of falling intensity:
2theta	d_spacing	I_rel	(hkl)
39.77	2.266	100	1 1 1
45.37	1.999	68	3 1 -1
36.50	2.462	62	2 0 -2
38.13	2.360	55	4 0 0
43.72	2.070	36	2 0 2
77.61	1.230	23	4 0 -4
63.74	1.460	22	1 1 -3
65.92	1.417	20	5 1 1
18.80	4.721	17	2 0 0
75.87	1.254	13	5 1 -3

Unit cell a=9.6468 b=2.7080 c=5.2026 alpha=90.00 beta=101.84 gamma=90.00
Space group Cm (No. 8)
Asymmetric unit:
Zn1 0.0000 0.0000 0.0000 (multiplicity 2)
Ag1 0.0034 0.5000 0.4817 (multiplicity 2)
Ag2 0.2651 0.0000 0.7194 (multiplicity 2)
W1 0.2430 0.5000 0.2043 (multiplicity 2)

[2]
Theoretical powder diffractogram of PmNd2Zn5 for Cu Kα, from the PBE geometry in Alexandria.

Principal peaks in the range 2θ = 10–90°, in order of falling intensity:
2theta	d_spacing	I_rel	(hkl)
35.59	2.523	100	1 1 4
36.49	2.463	52	2 0 0
65.09	1.433	33	3 1 4
52.55	1.741	18	2 2 0
25.70	3.466	14	1 0 3
63.33	1.469	12	2 0 8
25.58	3.483	10	1 1 0
88.85	1.101	8	4 2 0
88.32	1.107	7	3 3 4
47.23	1.925	7	1 0 7

Unit cell a=4.9253 b=4.9253 c=14.6362 alpha=90.00 beta=90.00 gamma=90.00
Space group I4/mmm (No. 139)
Asymmetric unit:
Pm1 0.0000 0.0000 0.0000 (multiplicity 2)
Nd1 0.0000 0.0000 0.2700 (multiplicity 4)
Zn1 0.0000 0.0000 0.5000 (multiplicity 2)
Zn2 0.0000 0.5000 0.1122 (multiplicity 8)

[3]
Theoretical powder diffractogram of AcTeAu2 for Cu Kα, from the PBE geometry in Alexandria.

Principal peaks in the range 2θ = 10–90°, in order of falling intensity:
2theta	d_spacing	I_rel	(hkl)
32.66	2.742	100	1 1 1
38.61	2.332	32	2 0 0
66.13	1.413	27	3 1 1
54.12	1.695	24	2 0 2
36.41	2.467	19	0 0 2
63.17	1.472	15	1 1 3
89.19	1.098	13	3 1 3
68.43	1.371	12	2 2 2
55.75	1.649	11	2 2 0
89.98	1.090	6	2 0 4

Unit cell a=4.6638 b=4.6638 c=4.9346 alpha=90.00 beta=90.00 gamma=90.00
Space group P4/mmm (No. 123)
Asymmetric unit:
Ac1 0.0000 0.0000 0.0000 (multiplicity 1)
Te1 0.5000 0.5000 0.0000 (multiplicity 1)
Au1 0.0000 0.5000 0.5000 (multiplicity 2)

[4]
Theoretical powder diffractogram of NbTl2OsO6 for Cu Kα, from the PBE geometry in Alexandria.

Principal peaks in the range 2θ = 10–90°, in order of falling intensity:
2theta	d_spacing	I_rel	(hkl)
27.51	3.242	100	2 0 0
32.56	2.750	31	2 2 -1
55.08	1.667	30	2 4 0
30.45	2.935	23	0 0 2
45.19	2.007	22	2 2 1
46.72	1.944	16	0 4 0
52.32	1.749	15	2 0 2
56.77	1.622	12	4 0 0
72.68	1.301	7	4 2 1
72.82	1.299	7	4 2 -5

Unit cell a=7.7772 b=7.7773 c=7.0333 alpha=90.00 beta=123.42 gamma=90.00
Space group C2/m (No. 12)
Asymmetric unit:
Nb1 0.0000 0.0000 0.0000 (multiplicity 2)
Tl1 0.0000 0.2500 0.5000 (multiplicity 4)
Os1 0.0000 0.5000 0.0000 (multiplicity 2)
O1 0.0000 0.2643 0.0000 (multiplicity 4)
O2 0.1643 0.0000 0.3298 (multiplicity 4)
O3 0.2358 0.5000 0.0002 (multiplicity 4)

[5]
Theoretical powder diffractogram of Mg16Si8HO32 for Cu Kα, from the PBE geometry in Alexandria.

Principal peaks in the range 2θ = 10–90°, in order of falling intensity:
2theta	d_spacing	I_rel	(hkl)
36.10	2.488	100	2 2 -1
35.31	2.542	79	2 1 3
51.67	1.769	70	4 2 -2
22.61	3.933	64	0 1 2
31.96	2.800	63	2 0 -3
39.23	2.296	46	2 2 2
61.96	1.498	45	0 2 6
61.17	1.515	32	0 4 0
39.60	2.276	31	2 0 4
68.72	1.366	23	6 2 2

Unit cell a=9.6122 b=6.0604 c=10.3369 alpha=90.00 beta=90.03 gamma=90.00
Space group Pm (No. 6)
Asymmetric unit:
Mg1 0.0000 0.0000 0.0000 (multiplicity 1)
Mg2 0.0031 0.2500 0.2765 (multiplicity 2)
Mg3 0.0074 0.5000 0.5550 (multiplicity 1)
Mg4 0.2496 0.5000 0.0545 (multiplicity 1)
Mg5 0.2536 0.2501 0.7784 (multiplicity 2)
Mg6 0.2567 0.0000 0.5006 (multiplicity 1)
Mg7 0.4994 0.0000 0.9987 (multiplicity 1)
Mg8 0.5038 0.2499 0.2770 (multiplicity 2)
Mg9 0.5066 0.5000 0.5552 (multiplicity 1)
Mg10 0.7491 0.5000 0.0543 (multiplicity 1)
Mg11 0.7537 0.2496 0.7787 (multiplicity 2)
Mg12 0.7601 0.0000 0.5003 (multiplicity 1)
Si1 0.0407 0.0000 0.6842 (multiplicity 1)
Si2 0.2167 0.0000 0.1842 (multiplicity 1)
Si3 0.2887 0.5000 0.3696 (multiplicity 1)
Si4 0.4668 0.5000 0.8716 (multiplicity 1)
Si5 0.5404 0.0000 0.6818 (multiplicity 1)
Si6 0.7175 0.0000 0.1815 (multiplicity 1)
Si7 0.7902 0.5000 0.3710 (multiplicity 1)
Si8 0.9668 0.5000 0.8713 (multiplicity 1)
H1 0.4950 0.0000 0.4863 (multiplicity 1)
O1 0.1145 0.0000 0.8309 (multiplicity 1)
O2 0.1150 0.2167 0.6150 (multiplicity 2)
O3 0.1190 0.5000 0.3674 (multiplicity 1)
O4 0.1367 0.5000 0.8695 (multiplicity 1)
O5 0.1419 0.0000 0.3305 (multiplicity 1)
O6 0.1427 0.2167 0.1147 (multiplicity 2)
O7 0.3624 0.2853 0.4404 (multiplicity 2)
O8 0.3647 0.5000 0.2239 (multiplicity 1)
O9 0.3701 0.0000 0.6898 (multiplicity 1)
O10 0.3868 0.0000 0.1866 (multiplicity 1)
O11 0.3921 0.2836 0.9408 (multiplicity 2)
O12 0.3925 0.5000 0.7249 (multiplicity 1)
O13 0.6146 0.0000 0.8297 (multiplicity 1)
O14 0.6172 0.2205 0.6171 (multiplicity 2)
O15 0.6201 0.5000 0.3693 (multiplicity 1)
O16 0.6367 0.5000 0.8701 (multiplicity 1)
O17 0.6421 0.2167 0.1135 (multiplicity 2)
O18 0.6460 0.0000 0.3289 (multiplicity 1)
O19 0.8636 0.5000 0.2241 (multiplicity 1)
O20 0.8650 0.2835 0.4400 (multiplicity 2)
O21 0.8709 0.0000 0.6859 (multiplicity 1)
O22 0.8874 0.0000 0.1838 (multiplicity 1)
O23 0.8925 0.2833 0.9406 (multiplicity 2)
O24 0.8927 0.5000 0.7247 (multiplicity 1)

[6]
Theoretical powder diffractogram of Sr3Li7Mg2 for Cu Kα, from the PBE geometry in Alexandria.

Principal peaks in the range 2θ = 10–90°, in order of falling intensity:
2theta	d_spacing	I_rel	(hkl)
28.47	3.135	100	1 1 0
16.58	5.346	67	1 0 1
33.51	2.674	62	1 1 6
26.09	3.416	57	1 0 7
17.30	5.127	37	0 0 6
50.42	1.810	27	3 0 0
53.70	1.707	24	2 0 14
39.00	2.310	23	0 2 7
53.39	1.716	19	1 1 15
33.13	2.704	19	0 2 1

Unit cell a=6.2688 b=6.2688 c=30.7627 alpha=90.00 beta=90.00 gamma=120.00
Space group R-3m (No. 166, hexagonal axes)
Asymmetric unit:
Sr1 0.0000 0.0000 0.0000 (multiplicity 3)
Sr2 0.0000 0.0000 0.1398 (multiplicity 6)
Li1 0.0000 0.0000 0.5000 (multiplicity 3)
Li2 0.0009 0.5004 0.0801 (multiplicity 18)
Mg1 0.0000 0.0000 0.3329 (multiplicity 6)

[7]
Theoretical powder diffractogram of NpCuPb2S5 for Cu Kα, from the PBE geometry in Alexandria.

Principal peaks in the range 2θ = 10–90°, in order of falling intensity:
2theta	d_spacing	I_rel	(hkl)
31.34	2.854	100	1 1 3
23.44	3.796	82	0 2 3
37.55	2.395	51	1 5 2
28.33	3.150	45	1 3 1
32.26	2.775	38	0 6 1
21.98	4.044	34	0 4 1
17.40	5.098	32	0 2 2
23.04	3.861	30	1 1 0
45.22	2.005	27	1 5 4
42.63	2.121	25	0 0 6

Unit cell a=3.9635 b=17.0607 c=12.7153 alpha=90.00 beta=90.00 gamma=90.00
Space group Cmc2_1 (No. 36)
Asymmetric unit:
Np1 0.0000 0.2042 0.0000 (multiplicity 4)
Cu1 0.0000 0.4310 0.4089 (multiplicity 4)
Pb1 0.0000 0.0892 0.6365 (multiplicity 4)
Pb2 0.0000 0.1195 0.2957 (multiplicity 4)
S1 0.0000 0.0537 0.0052 (multiplicity 4)
S2 0.0000 0.2841 0.6381 (multiplicity 4)
S3 0.0000 0.3003 0.3634 (multiplicity 4)
S4 0.0000 0.3573 0.9763 (multiplicity 4)
S5 0.0000 0.4995 0.7546 (multiplicity 4)

[8]
Theoretical powder diffractogram of RbCuBrCl for Cu Kα, from the PBE geometry in Alexandria.

Principal peaks in the range 2θ = 10–90°, in order of falling intensity:
2theta	d_spacing	I_rel	(hkl)
27.21	3.277	100	1 1 1
28.40	3.143	55	0 2 0
32.43	2.761	37	3 1 0
38.97	2.311	23	3 1 -1
52.17	1.753	19	0 2 2
49.56	1.839	18	1 3 1
42.81	2.112	17	0 0 2
28.66	3.115	13	2 0 -1
53.89	1.701	12	4 2 1
40.79	2.212	10	2 2 -1

Unit cell a=9.2201 b=6.2864 c=4.2244 alpha=90.00 beta=90.15 gamma=90.00
Space group Cm (No. 8)
Asymmetric unit:
Rb1 0.0000 0.0000 0.0000 (multiplicity 2)
Cu1 0.0538 0.5000 0.5008 (multiplicity 2)
Br1 0.2960 0.0000 0.5018 (multiplicity 2)
Cl1 0.1487 0.5000 0.0017 (multiplicity 2)

[9]
Theoretical powder diffractogram of CaSm2Dy3Se6 for Cu Kα, from the PBE geometry in Alexandria.

Principal peaks in the range 2θ = 10–90°, in order of falling intensity:
2theta	d_spacing	I_rel	(hkl)
30.63	2.918	100	1 1 -2
43.88	2.063	49	5 1 2
54.67	1.679	13	6 2 0
43.62	2.075	12	2 0 -4
44.11	2.053	12	0 2 0
63.78	1.459	12	2 2 -4
72.48	1.304	11	4 2 4
72.35	1.306	11	8 2 -4
80.98	1.187	8	5 3 2
26.35	3.382	7	4 0 -2

Unit cell a=18.0028 b=4.1059 c=8.2994 alpha=90.00 beta=103.49 gamma=90.00
Space group C2/m (No. 12)
Asymmetric unit:
Ca1 0.0000 0.0000 0.0000 (multiplicity 2)
Sm1 0.1713 0.5000 0.3419 (multiplicity 4)
Dy1 0.0000 0.0000 0.5000 (multiplicity 2)
Dy2 0.1689 0.5000 0.8289 (multiplicity 4)
Se1 0.0010 0.5000 0.7486 (multiplicity 4)
Se2 0.1622 0.0000 0.5879 (multiplicity 4)
Se3 0.1662 0.0000 0.0765 (multiplicity 4)

[10]
Theoretical powder diffractogram of MoC5 for Cu Kα, from the PBE geometry in Alexandria.

Principal peaks in the range 2θ = 10–90°, in order of falling intensity:
2theta	d_spacing	I_rel	(hkl)
13.02	6.800	100	0 0 2
39.63	2.274	33	0 1 3
34.75	2.581	30	0 1 1
26.21	3.400	29	0 0 4
44.64	2.030	26	1 0 4
50.51	1.807	24	1 1 1
37.94	2.372	24	1 0 2
54.23	1.692	21	1 1 3
61.20	1.514	14	1 1 5
48.14	1.890	14	0 1 5

Unit cell a=2.5306 b=2.6291 c=13.5993 alpha=90.00 beta=90.00 gamma=90.00
Space group Amm2 (No. 38)
Asymmetric unit:
Mo1 0.0000 0.0000 0.0000 (multiplicity 2)
C1 0.0000 0.0000 0.3321 (multiplicity 2)
C2 0.0000 0.0000 0.7662 (multiplicity 2)
C3 0.5000 0.0000 0.1369 (multiplicity 2)
C4 0.5000 0.0000 0.3993 (multiplicity 2)
C5 0.5000 0.0000 0.6989 (multiplicity 2)

[11]
Theoretical powder diffractogram of Pr4YGa4 for Cu Kα, from the PBE geometry in Alexandria.

Principal peaks in the range 2θ = 10–90°, in order of falling intensity:
2theta	d_spacing	I_rel	(hkl)
26.64	3.346	100	1 2 1
36.30	2.475	58	3 2 1
27.11	3.289	36	1 3 0
40.36	2.235	32	4 1 1
37.33	2.409	30	0 0 2
34.49	2.600	23	4 0 0
46.74	1.943	16	1 3 2
80.92	1.188	16	7 3 2
51.73	1.767	15	4 0 2
57.16	1.611	14	6 1 1

Unit cell a=10.4009 b=10.4009 c=4.8175 alpha=90.00 beta=90.00 gamma=90.00
Space group I4/m (No. 87)
Asymmetric unit:
Pr1 0.1340 0.3529 0.0000 (multiplicity 8)
Y1 0.0000 0.0000 0.0000 (multiplicity 2)
Ga1 0.0695 0.1660 0.5000 (multiplicity 8)

[12]
Theoretical powder diffractogram of Sm12Dy2In for Cu Kα, from the PBE geometry in Alexandria.

Principal peaks in the range 2θ = 10–90°, in order of falling intensity:
2theta	d_spacing	I_rel	(hkl)
30.08	2.971	100	2 2 2
31.22	2.865	71	0 4 0
33.29	2.692	60	0 2 8
32.74	2.736	39	2 2 4
36.75	2.445	38	2 2 6
28.67	3.114	25	2 0 4
61.75	1.502	21	4 2 8
60.49	1.531	18	4 4 0
54.84	1.674	18	2 6 2
50.41	1.810	17	4 0 0

Unit cell a=7.2417 b=11.4615 c=24.3915 alpha=90.00 beta=90.00 gamma=90.00
Space group Cmme (No. 67)
Asymmetric unit:
Sm1 0.0000 0.0011 0.0718 (multiplicity 8)
Sm2 0.0000 0.0245 0.5610 (multiplicity 8)
Sm3 0.2308 0.2500 0.4121 (multiplicity 8)
Sm4 0.2486 0.2500 0.8792 (multiplicity 8)
Sm5 0.2500 0.0000 0.1951 (multiplicity 8)
Sm6 0.2500 0.0000 0.3232 (multiplicity 8)
Dy1 0.0000 0.2500 0.2606 (multiplicity 4)
Dy2 0.0000 0.2500 0.7352 (multiplicity 4)
In1 0.0000 0.2500 0.9997 (multiplicity 4)